# K3AsF12
Simulated PXRD pattern, Cu Kα, 1.54184 Å. Input: a PBE-relaxed structure.

Principal peaks in the range 2θ from 15° to 90°, in order of falling intensity:
2theta, I (rel.)
20.03, 100
44.29, 85
26.53, 74
21.74, 59
27.77, 52
34.07, 49
24.44, 48
54.63, 45
36.78, 42
20.20, 40

Structural model:
Unit cell a=8.358 b=8.358 c=4.759 alpha=100.82 beta=100.82 gamma=121.27
Element x y z (fractional)
K (0.000, 0.000, 0.000)
K (0.000, 0.500, 0.500)
K (0.500, 0.000, 0.500)
As (0.500, 0.500, 0.500)
F (0.111, 0.741, 0.124)
F (0.202, 0.332, 0.570)
F (0.259, 0.889, 0.876)
F (0.329, 0.494, 0.215)
F (0.332, 0.202, 0.570)
F (0.494, 0.329, 0.215)
F (0.506, 0.671, 0.785)
F (0.668, 0.798, 0.430)
F (0.671, 0.506, 0.785)
F (0.741, 0.111, 0.124)
F (0.798, 0.668, 0.430)
F (0.889, 0.259, 0.876)

# K2LiAsF6
Simulated PXRD pattern, Cu Kα, 1.54184 Å. Input: a PBE-relaxed structure.

Principal peaks in the range 2θ from 15° to 90°, in order of falling intensity:
2theta, I (rel.)
30.29, 100
43.37, 89
18.42, 80
63.01, 50
35.68, 43
53.82, 38
37.33, 32
87.47, 20
47.49, 18
71.50, 16

Structural model:
Unit cell a=5.901 b=5.901 c=5.901 alpha=60.00 beta=60.00 gamma=60.00
Element x y z (fractional)
K (0.250, 0.250, 0.250)
K (0.750, 0.750, 0.750)
Li (0.000, 0.000, 0.000)
As (0.500, 0.500, 0.500)
F (0.252, 0.252, 0.748)
F (0.252, 0.748, 0.252)
F (0.252, 0.748, 0.748)
F (0.748, 0.252, 0.252)
F (0.748, 0.252, 0.748)
F (0.748, 0.748, 0.252)

# KNa2AsF6
Simulated PXRD pattern, Cu Kα, 1.54184 Å. Input: a PBE-relaxed structure.

Principal peaks in the range 2θ from 15° to 90°, in order of falling intensity:
2theta, I (rel.)
27.82, 100
19.58, 91
39.76, 84
57.48, 47
16.93, 37
49.22, 37
44.69, 32
79.01, 21
65.04, 20
61.33, 14

Structural model:
Unit cell a=6.413 b=6.413 c=6.413 alpha=60.00 beta=60.00 gamma=60.00
Element x y z (fractional)
K (0.000, 0.000, 0.000)
Na (0.250, 0.250, 0.250)
Na (0.750, 0.750, 0.750)
As (0.500, 0.500, 0.500)
F (0.273, 0.273, 0.727)
F (0.273, 0.727, 0.273)
F (0.273, 0.727, 0.727)
F (0.727, 0.273, 0.273)
F (0.727, 0.273, 0.727)
F (0.727, 0.727, 0.273)

What did the first record say?
# K3AsF12
Simulated PXRD pattern, Cu Kα, 1.54184 Å. Input: a PBE-relaxed structure.

Principal peaks in the range 2θ from 15° to 90°, in order of falling intensity:
2theta, I (rel.)
20.03, 100
44.29, 85
26.53, 74
21.74, 59
27.77, 52
34.07, 49
24.44, 48
54.63, 45
36.78, 42
20.20, 40

Structural model:
Unit cell a=8.358 b=8.358 c=4.759 alpha=100.82 beta=100.82 gamma=121.27
Element x y z (fractional)
K (0.000, 0.000, 0.000)
K (0.000, 0.500, 0.500)
K (0.500, 0.000, 0.500)
As (0.500, 0.500, 0.500)
F (0.111, 0.741, 0.124)
F (0.202, 0.332, 0.570)
F (0.259, 0.889, 0.876)
F (0.329, 0.494, 0.215)
F (0.332, 0.202, 0.570)
F (0.494, 0.329, 0.215)
F (0.506, 0.671, 0.785)
F (0.668, 0.798, 0.430)
F (0.671, 0.506, 0.785)
F (0.741, 0.111, 0.124)
F (0.798, 0.668, 0.430)
F (0.889, 0.259, 0.876)

Number 2 is which compound? K2LiAsF6